Computed powder diffraction line list of CsPdBr3 for Cu Kα (weighted mean of Kα1 and Kα2), from a crystal structure in Alexandria, relaxed with PBE.
Kinematic intensities with the Lorentz-polarization factor, no thermal factor.

Atomic structure:
a = 8.1152 Å, b = 5.3299 Å, c = 7.2622 Å
α = 90.00°, β = 90.00°, γ = 90.00°
Element x y z (fractional)
Cs  0.2500  0.0000  0.0007
Cs  0.7500  0.0000  0.9993
Pd  0.2500  0.5000  0.5002
Pd  0.7500  0.5000  0.4998
Br  0.0001  0.5000  0.2570
Br  0.9999  0.5000  0.7430
Br  0.2500  0.0000  0.5006
Br  0.4999  0.5000  0.2570
Br  0.5001  0.5000  0.7430
Br  0.7500  0.0000  0.4994

Top 8 peaks for 2θ = 5–70°, low angle first:
2θ/deg	d_spacing	intensity	(hkl)
20.7	4.297	38	0 1 1
27.6	3.229	50	2 1 0
29.8	3.001	41	0 1 2
30.3	2.950	24	2 1 1
33.1	2.706	100	2 0 2
33.6	2.665	48	0 2 0
44.7	2.029	21	4 0 0
47.9	1.899	70	2 2 2